# 1
# Cs3Ag2Br5Cl2
Calculated X-ray powder pattern, CuKα. Input: a crystal structure in Alexandria, relaxed with PBE.
Kinematic intensities with the Lorentz-polarization factor, no thermal factor.

Top 8 peaks for 10° ≤ 2θ ≤ 80°, by intensity:
2θ (°)	I (rel.)
32.59	100
22.70	77
29.96	68
46.37	54
22.89	40
32.06	39
46.76	35
40.09	35

```
Cs3Ag2Br5Cl2
1.0
-2.7475 2.7475 13.9586
2.7475 -2.7475 13.9586
2.7475 2.7475 -13.9586
Cs Ag Br Cl
3 2 5 2
Cartesian
0.0000 0.0000 0.0000 Cs
0.0000 0.0000 5.1461 Cs
0.0000 0.0000 22.7712 Cs
0.0000 0.0000 11.2209 Ag
0.0000 0.0000 16.6964 Ag
2.7475 0.0000 2.6247 Br
2.7475 0.0000 11.3339 Br
0.0000 0.0000 13.9586 Br
0.0000 2.7475 2.6247 Br
0.0000 2.7475 11.3339 Br
0.0000 0.0000 8.6274 Cl
0.0000 0.0000 19.2898 Cl
```

# 2
# PmEr2Mg2
Calculated X-ray powder pattern, CuKα. Input: a crystal structure in Alexandria, relaxed with PBE.
Kinematic intensities with the Lorentz-polarization factor, no thermal factor.

Top 8 peaks for 10° ≤ 2θ ≤ 80°, by intensity:
2θ (°)	I (rel.)
33.24	100
25.18	29
32.79	28
32.14	23
24.08	20
58.82	19
46.57	16
20.67	14

```
PmEr2Mg2
1.0
3.7293 0.0000 0.0000
0.0000 5.4622 0.0000
-1.8675 0.0000 13.9257
Pm Er Mg
2 4 4
Cartesian
-0.0001 1.3656 4.2078 Pm
1.8620 4.0967 9.7178 Pm
0.0002 4.0967 1.2360 Er
-0.0022 4.0967 6.6162 Er
1.8640 1.3656 7.3094 Er
1.8616 1.3656 12.6897 Er
-0.0004 1.3656 10.0220 Mg
-0.0042 4.0967 12.4909 Mg
1.8661 1.3656 1.4347 Mg
1.8623 4.0967 3.9037 Mg
```

# 3
# LaBi5O9
Calculated X-ray powder pattern, CuKα. Input: a crystal structure in Alexandria, relaxed with PBE.
Kinematic intensities with the Lorentz-polarization factor, no thermal factor.

Top 8 peaks for 10° ≤ 2θ ≤ 80°, by intensity:
2θ (°)	I (rel.)
28.88	100
28.63	91
30.57	59
25.86	47
45.14	44
54.75	35
53.85	29
29.87	25

```
LaBi5O9
1.0
9.3904 -1.9956 0.0000
9.3904 1.9956 0.0000
-1.0463 0.0000 6.8962
La Bi O
1 5 9
Cartesian
0.0000 0.0000 0.0000 La
2.4917 0.0000 2.8575 Bi
6.0496 0.0000 0.6201 Bi
8.7453 0.0000 3.4689 Bi
11.5107 0.0000 6.0240 Bi
14.8056 0.0000 4.1750 Bi
0.3145 0.0000 2.5541 O
2.3803 0.0000 0.4564 O
3.3014 0.0000 5.1227 O
5.7257 0.0000 2.9379 O
8.1597 0.0000 0.8947 O
9.3228 0.0000 5.7105 O
11.1765 0.0000 3.6959 O
14.7683 0.0000 6.4908 O
16.8860 0.0000 4.5026 O
```

# 4
# Li3Cd2Sn4
Calculated X-ray powder pattern, CuKα. Input: a crystal structure in Alexandria, relaxed with PBE.
Kinematic intensities with the Lorentz-polarization factor, no thermal factor.

Top 8 peaks for 10° ≤ 2θ ≤ 80°, by intensity:
2θ (°)	I (rel.)
34.37	100
34.05	84
34.65	84
35.50	79
39.31	59
40.51	56
40.84	51
20.11	48

```
Li3Cd2Sn4
1.0
4.4549 0.0000 0.0000
-2.1364 5.1640 0.0000
-2.0816 -2.0004 8.8329
Li Cd Sn
3 2 4
Cartesian
0.0000 0.0000 0.0000 Li
-2.0925 3.0913 3.8740 Li
2.3295 0.0723 4.9589 Li
0.1144 -0.9149 6.7213 Cd
0.1226 4.0785 2.1116 Cd
-2.0387 1.1324 7.8216 Sn
0.0556 0.8949 3.0339 Sn
0.1814 2.2688 5.7990 Sn
2.2757 2.0312 1.0112 Sn
```

# 5
# Ac3Al2In4
Calculated X-ray powder pattern, CuKα. Input: a crystal structure in Alexandria, relaxed with PBE.
Kinematic intensities with the Lorentz-polarization factor, no thermal factor.

Top 8 peaks for 10° ≤ 2θ ≤ 80°, by intensity:
2θ (°)	I (rel.)
29.93	100
36.12	51
20.62	23
47.62	18
57.99	15
61.23	14
28.74	12
61.10	8

```
Ac3Al2In4
1.0
5.9862 -2.4831 0.0000
5.9862 2.4831 0.0000
-3.3602 0.0000 8.9546
Ac Al In
3 2 4
Cartesian
0.0000 0.0000 0.0000 Ac
3.1482 0.0000 2.8968 Ac
5.4639 0.0000 6.0579 Ac
1.9211 0.0000 6.2195 Al
6.6910 0.0000 2.7351 Al
-0.3034 0.0000 3.6905 In
0.2782 0.0000 8.4660 In
8.3340 0.0000 0.4887 In
8.9155 0.0000 5.2642 In
```

# 6
# CeTlInSn
Calculated X-ray powder pattern, CuKα. Input: a crystal structure in Alexandria, relaxed with PBE.
Kinematic intensities with the Lorentz-polarization factor, no thermal factor.

Top 8 peaks for 10° ≤ 2θ ≤ 80°, by intensity:
2θ (°)	I (rel.)
32.66	100
36.63	18
38.28	16
38.74	16
63.46	15
65.67	13
66.31	13
54.02	12

```
CeTlInSn
1.0
4.6484 0.0000 0.0000
0.0000 4.7030 0.0000
0.0000 0.0000 4.9066
Ce Tl In Sn
1 1 1 1
Cartesian
0.0000 0.0000 0.0000 Ce
2.3242 0.0000 2.4533 Tl
0.0000 2.3515 2.4533 In
2.3242 2.3515 0.0000 Sn
```